For LiMn4O8, a cell relaxed with PBE+U gives the calculated powder diffraction line list in this record (CuKα).
Intensities are scaled so that the largest is 100.

Largest 10 diffraction maxima, in order of rising 2θ, 2θ from 10° to 90°:
d_spacing  2theta  I (rel.)
4.347  20.4  100
2.652  33.8  34
2.511  35.8  24
2.447  36.7  36
2.234  40.4  15
1.976  45.9  10
1.752  52.2  33
1.701  53.9  16
1.517  61.1  17
1.413  66.2  10

Crystal structure
```
data_LiMn4O8
_chemical_formula_sum 'Li2 Mn8 O16'
_space_group_name_H-M_alt 'P 1'
_space_group_IT_number 1
_cell_length_a 5.719
_cell_length_b 5.719
_cell_length_c 9.469
_cell_angle_alpha 90.00
_cell_angle_beta 90.00
_cell_angle_gamma 117.64
loop_
_space_group_symop_operation_xyz
'x,y,z'
loop_
_atom_site_label
_atom_site_type_symbol
_atom_site_fract_x
_atom_site_fract_y
_atom_site_fract_z
Li1 Li 0.127 0.873 0.500
Li2 Li 0.873 0.127 0.000
Mn1 Mn 0.133 0.370 0.710
Mn2 Mn 0.147 0.853 0.935
Mn3 Mn 0.370 0.133 0.210
Mn4 Mn 0.381 0.619 0.435
Mn5 Mn 0.619 0.381 0.935
Mn6 Mn 0.630 0.867 0.710
Mn7 Mn 0.853 0.147 0.435
Mn8 Mn 0.867 0.630 0.210
O1 O 0.034 0.966 0.109
O2 O 0.042 0.495 0.533
O3 O 0.218 0.782 0.299
O4 O 0.222 0.268 0.357
O5 O 0.268 0.222 0.857
O6 O 0.281 0.719 0.789
O7 O 0.479 0.521 0.614
O8 O 0.495 0.042 0.033
O9 O 0.505 0.958 0.533
O10 O 0.521 0.479 0.114
O11 O 0.719 0.281 0.289
O12 O 0.732 0.778 0.357
O13 O 0.778 0.732 0.857
O14 O 0.782 0.218 0.799
O15 O 0.958 0.505 0.033
O16 O 0.966 0.034 0.609
```